[1]
Starting from DFT lattice parameters and positions (GGA-PBE), the X-ray diffraction stick pattern of Li2V2N3 was computed for λ = 1.5418 Å (Cu Kα).
No peak broadening, texture or thermal motion is included.

Cell and atoms:
```
data_Li2V2N3
_chemical_formula_sum 'Li4 V4 N6'
_cell_length_a 10.5774
_cell_length_b 3.3522
_cell_length_c 4.9740
_cell_angle_alpha 90.00
_cell_angle_beta 115.54
_cell_angle_gamma 90.00
_symmetry_space_group_name_H-M 'C 1 2/m 1'
_symmetry_Int_Tables_number 12
_symmetry_space_group_name_Hall '-C 2y'
loop_
_atom_site_label
_atom_site_type_symbol
_atom_site_fract_x
_atom_site_fract_y
_atom_site_fract_z
Li1 Li 0.0854 0.0000 0.3031
V1 V 0.1469 0.5000 0.8919
N1 N 0.0000 0.5000 0.0000
N2 N 0.1729 0.0000 0.7487
```

Main lines, most intense first (2θ = 5–70°):
two_theta  d/Å  I (rel.)  hkl
19.78  4.488  1000  0 0 1
20.50  4.331  813  2 0 -1
37.04  2.427  420  1 1 1
37.86  2.377  398  3 1 -1
28.22  3.163  279  1 1 0
53.33  1.718  204  1 1 2
52.02  1.758  201  2 0 2
55.16  1.665  182  5 1 -2
37.70  2.386  168  4 0 0
36.15  2.485  162  2 0 -2
32.76  2.734  145  2 0 1
54.77  1.676  143  0 2 0

=====

[2]
Starting from DFT lattice parameters and positions (GGA-PBE), the X-ray diffraction stick pattern of MgZr3Tl was computed for λ = 1.5418 Å (Cu Kα).
No peak broadening, texture or thermal motion is included.

Cell and atoms:
```
data_MgZr3Tl
_chemical_formula_sum 'Mg8 Zr24 Tl8'
_cell_length_a 12.9600
_cell_length_b 8.9867
_cell_length_c 10.1009
_cell_angle_alpha 90.00
_cell_angle_beta 127.68
_cell_angle_gamma 90.00
_symmetry_space_group_name_H-M 'C 1 2/c 1'
_symmetry_Int_Tables_number 15
_symmetry_space_group_name_Hall '-C 2yc'
loop_
_atom_site_label
_atom_site_type_symbol
_atom_site_fract_x
_atom_site_fract_y
_atom_site_fract_z
Mg1 Mg 0.1346 0.1994 0.3032
Zr1 Zr 0.0933 0.3476 0.5791
Zr2 Zr 0.1739 0.0114 0.5983
Zr3 Zr 0.2047 0.3394 0.0705
Tl1 Tl 0.0000 0.1299 0.7500
Tl2 Tl 0.0000 0.4873 0.2500
```

Main lines, most intense first (2θ = 5–70°):
two_theta  d/Å  I (rel.)  hkl
35.19  2.551  1000  1 3 -2
35.67  2.517  661  4 2 -1
13.32  6.648  424  1 1 -1
36.97  2.432  417  2 0 -4
35.95  2.498  390  2 0 2
27.55  3.238  389  4 0 -2
40.02  2.253  380  3 3 0
33.40  2.683  260  2 2 -3
60.81  1.523  245  1 3 4
36.75  2.446  239  5 1 -3
34.13  2.627  197  4 2 -2
22.70  3.917  154  0 2 1

=====

[3]
Starting from DFT lattice parameters and positions (GGA-PBE), the X-ray diffraction stick pattern of Ac7La2Sm2 was computed for λ = 1.5418 Å (Cu Kα).
No peak broadening, texture or thermal motion is included.

Cell and atoms:
```
data_Ac7La2Sm2
_chemical_formula_sum 'Ac14 La4 Sm4'
_cell_length_a 11.9523
_cell_length_b 12.7601
_cell_length_c 6.6650
_cell_angle_alpha 90.00
_cell_angle_beta 112.61
_cell_angle_gamma 90.00
_symmetry_space_group_name_H-M 'C 1 2/m 1'
_symmetry_Int_Tables_number 12
_symmetry_space_group_name_Hall '-C 2y'
loop_
_atom_site_label
_atom_site_type_symbol
_atom_site_fract_x
_atom_site_fract_y
_atom_site_fract_z
Ac1 Ac 0.0000 0.0000 0.0000
Ac2 Ac 0.1731 0.2468 0.1830
Ac3 Ac 0.2194 0.0000 0.5734
La1 La 0.0836 0.5000 0.7970
Sm1 Sm 0.0000 0.2257 0.5000
```

Main lines, most intense first (2θ = 5–70°):
two_theta  d/Å  I (rel.)  hkl
29.14  3.064  1000  2 2 1
27.97  3.190  544  0 4 0
30.68  2.914  343  2 2 -2
23.96  3.714  246  3 1 -1
27.84  3.205  230  1 1 -2
41.48  2.177  226  4 4 -1
50.22  1.817  205  2 6 1
31.19  2.867  203  3 3 -1
29.98  2.981  203  4 0 -1
33.17  2.701  156  4 2 -1
27.23  3.275  146  2 0 -2
60.42  1.532  135  4 4 2

=====

[4]
Starting from DFT lattice parameters and positions (GGA-PBE), the X-ray diffraction stick pattern of Na2AcSn2Au was computed for λ = 1.5418 Å (Cu Kα).
No peak broadening, texture or thermal motion is included.

Cell and atoms:
```
data_Na2AcSn2Au
_chemical_formula_sum 'Na4 Ac2 Sn4 Au2'
_cell_length_a 4.5101
_cell_length_b 4.5101
_cell_length_c 19.4141
_cell_angle_alpha 90.00
_cell_angle_beta 90.00
_cell_angle_gamma 90.00
_symmetry_space_group_name_H-M 'I 4/m m m'
_symmetry_Int_Tables_number 139
_symmetry_space_group_name_Hall '-I 4 2'
loop_
_atom_site_label
_atom_site_type_symbol
_atom_site_fract_x
_atom_site_fract_y
_atom_site_fract_z
Na1 Na 0.0000 0.5000 0.2500
Ac1 Ac 0.0000 0.0000 0.0000
Sn1 Sn 0.0000 0.0000 0.3654
Au1 Au 0.0000 0.0000 0.5000
```

Main lines, most intense first (2θ = 5–70°):
two_theta  d/Å  I (rel.)  hkl
9.11  9.707  1000  0 0 2
27.98  3.189  545  1 1 0
29.48  3.030  491  1 1 2
39.68  2.271  358  1 1 6
39.98  2.255  289  2 0 0
47.05  1.931  250  1 1 8
24.05  3.700  210  1 0 3
55.64  1.652  206  2 0 8
37.04  2.427  164  0 0 8
27.57  3.236  156  0 0 6
49.25  1.850  133  2 0 6
41.09  2.197  123  2 0 2

=====

[5]
Starting from DFT lattice parameters and positions (GGA-PBE), the X-ray diffraction stick pattern of Tb8CeNd3 was computed for λ = 1.5418 Å (Cu Kα).
No peak broadening, texture or thermal motion is included.

Cell and atoms:
```
data_Tb8CeNd3
_chemical_formula_sum 'Tb16 Ce2 Nd6'
_cell_length_a 8.7288
_cell_length_b 8.7288
_cell_length_c 11.3485
_cell_angle_alpha 90.00
_cell_angle_beta 90.00
_cell_angle_gamma 90.00
_symmetry_space_group_name_H-M 'I -4 2 m'
_symmetry_Int_Tables_number 121
_symmetry_space_group_name_Hall 'I -4 2'
loop_
_atom_site_label
_atom_site_type_symbol
_atom_site_fract_x
_atom_site_fract_y
_atom_site_fract_z
Tb1 Tb 0.1239 0.1239 0.2373
Tb2 Tb 0.2334 0.2334 0.9729
Ce1 Ce 0.0000 0.0000 0.0000
Nd1 Nd 0.0000 0.0000 0.5000
Nd2 Nd 0.0000 0.5000 0.2500
```

Main lines, most intense first (2θ = 5–70°):
two_theta  d/Å  I (rel.)  hkl
36.19  2.482  1000  3 1 2
28.93  3.086  779  2 2 0
33.00  2.714  654  2 2 2
24.11  3.691  640  2 1 1
31.53  2.837  620  0 0 4
44.47  2.037  591  4 0 2
25.75  3.460  538  2 0 2
43.32  2.089  426  2 2 4
59.22  1.560  339  3 1 6
56.12  1.639  321  5 1 2
14.35  6.172  305  1 1 0
38.00  2.368  281  3 2 1

=====

[6]
Starting from DFT lattice parameters and positions (GGA-PBE), the X-ray diffraction stick pattern of La4TlGa was computed for λ = 1.5418 Å (Cu Kα).
No peak broadening, texture or thermal motion is included.

Cell and atoms:
```
data_La4TlGa
_chemical_formula_sum 'La16 Tl4 Ga4'
_cell_length_a 9.1890
_cell_length_b 14.1100
_cell_length_c 6.3127
_cell_angle_alpha 90.00
_cell_angle_beta 110.97
_cell_angle_gamma 90.00
_symmetry_space_group_name_H-M 'C 1 2/c 1'
_symmetry_Int_Tables_number 15
_symmetry_space_group_name_Hall '-C 2yc'
loop_
_atom_site_label
_atom_site_type_symbol
_atom_site_fract_x
_atom_site_fract_y
_atom_site_fract_z
La1 La 0.1131 0.1837 0.0650
La2 La 0.1976 0.4140 0.3553
Tl1 Tl 0.0000 0.3819 0.7500
Ga1 Ga 0.0000 0.0014 0.7500
```

Main lines, most intense first (2θ = 5–70°):
two_theta  d/Å  I (rel.)  hkl
32.47  2.758  1000  2 2 1
30.12  2.967  828  3 1 -1
33.43  2.681  581  1 5 0
28.99  3.080  581  1 1 -2
34.22  2.621  471  1 3 -2
32.93  2.720  392  2 4 -1
28.47  3.135  373  1 3 1
35.19  2.550  358  3 3 -1
52.28  1.750  266  4 2 -3
61.07  1.517  234  6 0 -2
25.25  3.527  213  0 4 0
32.65  2.743  212  2 2 -2

=====

[7]
Starting from DFT lattice parameters and positions (GGA-PBE), the X-ray diffraction stick pattern of AcLa5Sm2 was computed for λ = 1.5418 Å (Cu Kα).
No peak broadening, texture or thermal motion is included.

Cell and atoms:
```
data_AcLa5Sm2
_chemical_formula_sum 'Ac4 La20 Sm8'
_cell_length_a 9.0842
_cell_length_b 9.0842
_cell_length_c 14.4684
_cell_angle_alpha 90.00
_cell_angle_beta 90.00
_cell_angle_gamma 90.00
_symmetry_space_group_name_H-M 'I 4/m c m'
_symmetry_Int_Tables_number 140
_symmetry_space_group_name_Hall '-I 4 2c'
loop_
_atom_site_label
_atom_site_type_symbol
_atom_site_fract_x
_atom_site_fract_y
_atom_site_fract_z
Ac1 Ac 0.0000 0.0000 0.2500
La1 La 0.0000 0.0000 0.0000
La2 La 0.1494 0.3506 0.1624
Sm1 Sm 0.1453 0.3547 0.5000
```

Main lines, most intense first (2θ = 5–70°):
two_theta  d/Å  I (rel.)  hkl
28.73  3.107  1000  2 1 3
31.13  2.873  666  3 1 0
57.91  1.592  214  5 2 3
28.32  3.152  157  1 1 4
31.62  2.830  132  2 0 4
55.59  1.653  117  4 0 6
27.78  3.212  117  2 2 0
40.08  2.250  116  3 1 4
57.57  1.601  114  3 3 6
44.61  2.031  112  4 2 0
62.09  1.495  108  2 1 9
45.25  2.004  93  4 1 3

=====

[8]
Starting from DFT lattice parameters and positions (GGA-PBE), the X-ray diffraction stick pattern of Ac2HgAs was computed for λ = 1.5418 Å (Cu Kα).
No peak broadening, texture or thermal motion is included.

Cell and atoms:
```
data_Ac2HgAs
_chemical_formula_sum 'Ac6 Hg3 As3'
_cell_length_a 4.4539
_cell_length_b 4.4539
_cell_length_c 24.7046
_cell_angle_alpha 90.00
_cell_angle_beta 90.00
_cell_angle_gamma 120.00
_symmetry_space_group_name_H-M 'R -3 m'
_symmetry_Int_Tables_number 166
_symmetry_space_group_name_Hall '-R 3 2"'
loop_
_atom_site_label
_atom_site_type_symbol
_atom_site_fract_x
_atom_site_fract_y
_atom_site_fract_z
Ac1 Ac 0.0000 0.0000 0.2410
Hg1 Hg 0.0000 0.0000 0.0000
As1 As 0.0000 0.0000 0.5000
```

Main lines, most intense first (2θ = 5–70°):
two_theta  d/Å  I (rel.)  hkl
27.26  3.272  1000  1 0 4
37.30  2.411  404  0 1 8
40.51  2.227  366  1 1 0
49.51  1.841  201  0 2 4
65.82  1.419  173  2 1 4
61.32  1.512  164  1 1 12
56.24  1.636  126  2 0 8
29.38  3.040  99  0 1 5
52.95  1.729  76  1 1 9
43.98  2.059  72  0 0 12
24.17  3.682  67  0 1 2
23.34  3.811  62  1 0 1

=====

[9]
Starting from DFT lattice parameters and positions (GGA-PBE), the X-ray diffraction stick pattern of Pr6Nd3Ag was computed for λ = 1.5418 Å (Cu Kα).
No peak broadening, texture or thermal motion is included.

Cell and atoms:
```
data_Pr6Nd3Ag
_chemical_formula_sum 'Pr12 Nd6 Ag2'
_cell_length_a 10.5266
_cell_length_b 12.1333
_cell_length_c 5.4487
_cell_angle_alpha 90.00
_cell_angle_beta 90.00
_cell_angle_gamma 90.00
_symmetry_space_group_name_H-M 'P n n m'
_symmetry_Int_Tables_number 58
_symmetry_space_group_name_Hall '-P 2 2n'
loop_
_atom_site_label
_atom_site_type_symbol
_atom_site_fract_x
_atom_site_fract_y
_atom_site_fract_z
Pr1 Pr 0.0629 0.2424 0.0000
Pr2 Pr 0.1649 0.0745 0.5000
Pr3 Pr 0.2215 0.3830 0.5000
Nd1 Nd 0.0000 0.5000 0.0000
Nd2 Nd 0.1230 0.7069 0.5000
Ag1 Ag 0.0000 0.0000 0.0000
```

Main lines, most intense first (2θ = 5–70°):
two_theta  d/Å  I (rel.)  hkl
28.77  3.103  1000  1 3 1
30.30  2.950  844  3 0 1
32.88  2.724  678  0 0 2
31.20  2.867  625  3 1 1
34.12  2.628  361  2 4 0
34.91  2.570  308  1 4 1
27.46  3.248  274  0 3 1
48.11  1.891  273  2 4 2
27.80  3.209  228  2 3 0
29.42  3.036  182  3 2 0
40.91  2.206  179  4 3 0
66.32  1.409  154  7 2 1

=====

[10]
Starting from DFT lattice parameters and positions (GGA-PBE), the X-ray diffraction stick pattern of PrNd2Hg2Pb2 was computed for λ = 1.5418 Å (Cu Kα).
No peak broadening, texture or thermal motion is included.

Cell and atoms:
```
data_PrNd2Hg2Pb2
_chemical_formula_sum 'Pr3 Nd6 Hg6 Pb6'
_cell_length_a 5.1284
_cell_length_b 5.1284
_cell_length_c 27.9160
_cell_angle_alpha 90.00
_cell_angle_beta 90.00
_cell_angle_gamma 120.00
_symmetry_space_group_name_H-M 'R -3 m'
_symmetry_Int_Tables_number 166
_symmetry_space_group_name_Hall '-R 3 2"'
loop_
_atom_site_label
_atom_site_type_symbol
_atom_site_fract_x
_atom_site_fract_y
_atom_site_fract_z
Pr1 Pr 0.0000 0.0000 0.0000
Nd1 Nd 0.0000 0.0000 0.1310
Hg1 Hg 0.0000 0.0000 0.4325
Pb1 Pb 0.0000 0.0000 0.2728
```

Main lines, most intense first (2θ = 5–70°):
two_theta  d/Å  I (rel.)  hkl
30.12  2.967  1000  1 0 7
34.99  2.564  813  1 1 0
46.83  1.940  302  0 2 7
59.77  1.547  294  2 1 7
62.76  1.480  153  3 0 0
50.15  1.819  135  0 1 14
19.08  4.653  116  0 0 6
40.15  2.246  113  1 1 6
47.00  1.933  91  1 0 13
62.61  1.484  70  2 0 14
59.92  1.544  45  0 2 13
40.96  2.203  32  0 1 11

=====

[11]
Starting from DFT lattice parameters and positions (GGA-PBE), the X-ray diffraction stick pattern of TlRh4Se was computed for λ = 1.5418 Å (Cu Kα).
No peak broadening, texture or thermal motion is included.

Cell and atoms:
```
data_TlRh4Se
_chemical_formula_sum 'Tl4 Rh16 Se4'
_cell_length_a 7.4447
_cell_length_b 7.4447
_cell_length_c 7.4447
_cell_angle_alpha 90.00
_cell_angle_beta 90.00
_cell_angle_gamma 90.00
_symmetry_space_group_name_H-M 'F -4 3 m'
_symmetry_Int_Tables_number 216
_symmetry_space_group_name_Hall 'F -4 2 3'
loop_
_atom_site_label
_atom_site_type_symbol
_atom_site_fract_x
_atom_site_fract_y
_atom_site_fract_z
Tl1 Tl 0.0000 0.0000 0.0000
Rh1 Rh 0.1241 0.1241 0.6241
Se1 Se 0.2500 0.2500 0.2500
```

Main lines, most intense first (2θ = 5–70°):
two_theta  d/Å  I (rel.)  hkl
40.17  2.245  1000  3 1 1
34.06  2.632  352  2 2 0
42.04  2.149  324  2 2 2
65.11  1.433  320  5 1 1
60.97  1.520  133  4 2 2
23.91  3.722  83  2 0 0
20.66  4.298  69  1 1 1
55.17  1.665  32  4 2 0
53.66  1.708  22  3 3 1
48.94  1.861  16  4 0 0

=====

[12]
Starting from DFT lattice parameters and positions (GGA-PBE), the X-ray diffraction stick pattern of La4Ag2Sb was computed for λ = 1.5418 Å (Cu Kα).
No peak broadening, texture or thermal motion is included.

Cell and atoms:
```
data_La4Ag2Sb
_chemical_formula_sum 'La12 Ag6 Sb3'
_cell_length_a 5.3950
_cell_length_b 5.3950
_cell_length_c 26.2563
_cell_angle_alpha 90.00
_cell_angle_beta 90.00
_cell_angle_gamma 120.00
_symmetry_space_group_name_H-M 'R -3 m'
_symmetry_Int_Tables_number 166
_symmetry_space_group_name_Hall '-R 3 2"'
loop_
_atom_site_label
_atom_site_type_symbol
_atom_site_fract_x
_atom_site_fract_y
_atom_site_fract_z
La1 La 0.0000 0.0000 0.1203
La2 La 0.0000 0.0000 0.3713
Ag1 Ag 0.0000 0.0000 0.2516
Sb1 Sb 0.0000 0.0000 0.5000
```

Main lines, most intense first (2θ = 5–70°):
two_theta  d/Å  I (rel.)  hkl
33.21  2.697  1000  1 1 0
33.36  2.686  959  0 1 8
59.40  1.556  539  3 0 0
47.79  1.903  345  2 0 8
59.72  1.548  160  1 0 16
23.37  3.806  119  1 0 4
69.72  1.349  112  2 2 0
25.52  3.491  82  0 1 5
19.30  4.600  63  1 0 1
30.57  2.925  51  1 0 7
10.11  8.752  48  0 0 3
20.17  4.402  45  0 1 2

=====

[13]
Starting from DFT lattice parameters and positions (GGA-PBE), the X-ray diffraction stick pattern of GdY3Fe was computed for λ = 1.5418 Å (Cu Kα).
No peak broadening, texture or thermal motion is included.

Cell and atoms:
```
data_GdY3Fe
_chemical_formula_sum 'Gd1 Y3 Fe1'
_cell_length_a 5.2940
_cell_length_b 5.2940
_cell_length_c 5.2940
_cell_angle_alpha 90.00
_cell_angle_beta 90.00
_cell_angle_gamma 90.00
_symmetry_space_group_name_H-M 'P m -3 m'
_symmetry_Int_Tables_number 221
_symmetry_space_group_name_Hall '-P 4 2 3'
loop_
_atom_site_label
_atom_site_type_symbol
_atom_site_fract_x
_atom_site_fract_y
_atom_site_fract_z
Gd1 Gd 0.0000 0.0000 0.0000
Y1 Y 0.0000 0.5000 0.5000
Fe1 Fe 0.5000 0.5000 0.5000
```

Main lines, most intense first (2θ = 5–70°):
two_theta  d/Å  I (rel.)  hkl
29.22  3.056  1000  1 1 1
33.86  2.647  885  2 0 0
48.65  1.872  624  2 2 0
57.76  1.596  431  3 1 1
23.77  3.743  280  1 1 0
60.59  1.528  211  2 2 2
41.80  2.161  128  2 1 1
66.03  1.415  64  3 2 1
54.84  1.674  57  3 1 0

=====

[14]
Starting from DFT lattice parameters and positions (GGA-PBE), the X-ray diffraction stick pattern of PuAg3Br8 was computed for λ = 1.5418 Å (Cu Kα).
No peak broadening, texture or thermal motion is included.

Cell and atoms:
```
data_PuAg3Br8
_chemical_formula_sum 'Pu2 Ag6 Br16'
_cell_length_a 14.2338
_cell_length_b 8.2737
_cell_length_c 8.2184
_cell_angle_alpha 90.00
_cell_angle_beta 124.74
_cell_angle_gamma 90.00
_symmetry_space_group_name_H-M 'C 1 2/m 1'
_symmetry_Int_Tables_number 12
_symmetry_space_group_name_Hall '-C 2y'
loop_
_atom_site_label
_atom_site_type_symbol
_atom_site_fract_x
_atom_site_fract_y
_atom_site_fract_z
Pu1 Pu 0.0000 0.0000 0.0000
Ag1 Ag 0.0000 0.5000 0.0000
Ag2 Ag 0.2500 0.2500 0.5000
Br1 Br 0.0049 0.2320 0.7630
Br2 Br 0.2290 0.5000 0.2704
Br3 Br 0.2364 0.0000 0.2267
```

Main lines, most intense first (2θ = 5–70°):
two_theta  d/Å  I (rel.)  hkl
30.64  2.918  1000  2 2 -2
13.22  6.696  703  2 0 -1
43.72  2.070  370  2 2 2
25.23  3.530  365  0 2 1
44.03  2.057  327  4 0 -4
54.33  1.689  182  0 0 4
45.91  1.977  125  2 4 -1
40.29  2.238  116  4 2 -3
33.50  2.675  113  2 0 -3
13.11  6.754  109  0 0 1
40.15  2.246  90  6 0 -1
45.83  1.980  74  4 2 1